Entry 1:
For RbHg4P3, a DFT-relaxed cell (PBE, OQMD) gives the simulated X-ray diffraction stick pattern in this record (Cu Ka).

Cell and atoms:
```
8
Lattice="2.2086 1.2751 12.8654 -2.2086 1.2751 12.8654 0.0000 -2.5503 12.8654" Properties=species:S:1:pos:R:3 pbc="T T T"
Rb 0.0000 0.0000 0.0000
Hg 0.0000 0.0000 7.6238
Hg 0.0000 0.0000 15.6046
Hg 0.0000 0.0000 22.9916
Hg 0.0000 0.0000 30.9725
P 0.0000 0.0000 10.2895
P 0.0000 0.0000 19.2981
P 0.0000 0.0000 28.3068
```

The 10 most intense peaks (2θ = 15–90°), most intense first:
Position (°2θ), I/Imax
26.00, 100.0
32.97, 61.9
40.86, 44.0
54.77, 30.1
49.07, 18.6
34.87, 18.1
53.47, 16.0
65.70, 15.7
69.41, 14.8
53.16, 14.2


Entry 2:
For HgPS4, a DFT-relaxed cell (PBE, OQMD) gives the simulated X-ray diffraction stick pattern in this record (Cu Ka).

Cell and atoms:
```
12
Lattice="6.4156 0.0000 0.0000 0.0000 6.4206 0.0000 0.0000 0.0000 8.6590" Properties=species:S:1:pos:R:3 pbc="T T T"
Hg 0.0000 0.0000 0.0000
Hg 3.2078 0.0000 4.3295
P 0.0000 0.0000 4.3295
P 0.0000 3.2103 0.0000
S 1.1904 2.0059 1.1689
S 1.1904 4.4147 7.4901
S 1.2414 1.1951 5.4563
S 1.2414 5.2255 3.2027
S 5.1742 1.1951 3.2027
S 5.1742 5.2255 5.4563
S 5.2251 2.0059 7.4901
S 5.2251 4.4147 1.1689
```

The 10 most intense peaks (2θ = 15–90°), most intense first:
Position (°2θ), I/Imax
17.20, 100.0
22.11, 57.1
34.80, 45.7
32.87, 40.5
24.80, 38.6
20.51, 35.2
37.60, 30.8
45.93, 29.7
50.88, 27.2
39.72, 24.2


Entry 3:
For HgPS4, a DFT-relaxed cell (PBE, OQMD) gives the simulated X-ray diffraction stick pattern in this record (Cu Ka).

Cell and atoms:
```
12
Lattice="5.8458 0.0000 0.0000 0.0000 5.8458 0.0000 0.0000 0.0000 8.7764" Properties=species:S:1:pos:R:3 pbc="T T T"
Hg 0.0000 0.0000 0.0000
Hg 2.9229 2.9229 4.3882
P 0.0000 2.9229 2.1941
P 2.9229 0.0000 6.5823
S 1.0348 4.3015 3.2925
S 1.3786 1.8881 1.0957
S 1.5443 1.0348 5.4839
S 1.8881 4.4672 7.6807
S 3.9577 1.3786 7.6807
S 4.3015 4.8110 5.4839
S 4.4672 3.9577 1.0957
S 4.8110 1.5443 3.2925
```

The 10 most intense peaks (2θ = 15–90°), most intense first:
Position (°2θ), I/Imax
18.23, 100.0
29.69, 58.6
35.84, 52.9
34.28, 27.8
21.50, 24.1
46.59, 19.7
52.12, 19.4
53.81, 18.9
20.24, 14.9
36.95, 14.3